# 1
For BaErCu, a structure optimized by DFT (PBE) gives the simulated powder XRD pattern in this record (CuKα).
Peak positions follow from Bragg's law for the DFT cell and can differ from measured ones.

```
BaErCu
1.0
4.970 0.000 0.000
0.000 4.970 0.000
0.000 0.000 7.629
Ba Er Cu
2 2 2
direct
0.250 0.250 0.118
0.750 0.750 0.882
0.250 0.750 0.500
0.750 0.250 0.500
0.250 0.250 0.684
0.750 0.750 0.316
```

Top 12 peaks for 15° ≤ 2θ ≤ 90°, by angle:
2θ/deg, d/Å, I/Imax
27.95, 3.192, 1000
29.52, 3.026, 532
34.71, 2.585, 414
36.15, 2.485, 621
43.95, 2.060, 124
47.34, 1.920, 282
52.05, 1.757, 216
54.79, 1.676, 341
60.11, 1.539, 236
64.08, 1.453, 137
72.73, 1.300, 134
78.94, 1.213, 206

***

# 2
For CsKBrF, a structure optimized by DFT (PBE) gives the simulated powder XRD pattern in this record (CuKα).
Peak positions follow from Bragg's law for the DFT cell and can differ from measured ones.

```
CsKBrF
1.0
2.750 1.588 11.341
-2.750 1.588 11.341
0.000 -3.176 11.341
Cs K Br F
2 2 2 2
direct
0.125 0.125 0.125
0.875 0.875 0.875
0.283 0.283 0.283
0.717 0.717 0.717
0.382 0.382 0.382
0.618 0.618 0.618
0.208 0.208 0.208
0.792 0.792 0.792
```

Top 12 peaks for 15° ≤ 2θ ≤ 90°, by angle:
2θ/deg, d/Å, I/Imax
21.38, 4.156, 1000
28.13, 3.172, 634
31.55, 2.835, 268
32.56, 2.750, 864
39.28, 2.293, 215
43.55, 2.078, 190
45.97, 1.974, 538
51.91, 1.761, 190
55.42, 1.658, 188
58.11, 1.587, 198
67.64, 1.385, 213
77.11, 1.237, 181

***

# 3
For ZrMnSiCl2, a structure optimized by DFT (PBE) gives the simulated powder XRD pattern in this record (CuKα).
Peak positions follow from Bragg's law for the DFT cell and can differ from measured ones.

```
ZrMnSiCl2
1.0
4.888 0.000 0.000
0.000 4.888 0.000
0.000 0.000 5.533
Zr Mn Si Cl
1 1 1 2
direct
0.000 0.000 0.000
0.500 0.500 0.500
0.000 0.000 0.500
0.000 0.500 0.000
0.500 0.000 0.000
```

Top 12 peaks for 15° ≤ 2θ ≤ 90°, by angle:
2θ/deg, d/Å, I/Imax
16.02, 5.533, 319
18.15, 4.888, 313
24.30, 3.663, 1000
25.77, 3.456, 327
30.49, 2.931, 162
32.36, 2.766, 511
36.77, 2.444, 705
41.82, 2.160, 185
44.57, 2.033, 379
49.78, 1.832, 554
53.01, 1.727, 337
63.47, 1.466, 255

***

# 4
For YPd6Au2, a structure optimized by DFT (PBE) gives the simulated powder XRD pattern in this record (CuKα).
Peak positions follow from Bragg's law for the DFT cell and can differ from measured ones.

```
YPd6Au2
1.0
8.533 0.000 0.000
0.000 8.533 0.000
0.000 0.000 4.197
Y Pd Au
2 12 4
direct
0.000 0.000 0.000
0.500 0.500 0.500
0.005 0.336 0.000
0.164 0.505 0.500
0.166 0.834 0.500
0.334 0.334 0.000
0.336 0.005 0.000
0.495 0.836 0.500
0.505 0.164 0.500
0.664 0.995 0.000
0.666 0.666 0.000
0.834 0.166 0.500
0.836 0.495 0.500
0.995 0.664 0.000
0.176 0.176 0.500
0.324 0.676 0.000
0.676 0.324 0.000
0.824 0.824 0.500
```

Top 12 peaks for 15° ≤ 2θ ≤ 90°, by angle:
2θ/deg, d/Å, I/Imax
20.82, 4.266, 32
23.31, 3.816, 42
23.63, 3.766, 22
25.86, 3.445, 42
38.23, 2.354, 1000
43.11, 2.098, 180
45.08, 2.011, 309
64.14, 1.452, 213
65.65, 1.422, 97
75.78, 1.255, 133
78.59, 1.217, 229
81.82, 1.177, 105

***

# 5
For UHg3Te2Cl6, a structure optimized by DFT (PBE) gives the simulated powder XRD pattern in this record (CuKα).
Peak positions follow from Bragg's law for the DFT cell and can differ from measured ones.

```
UHg3Te2Cl6
1.0
7.186 0.000 0.000
0.000 8.146 0.000
-0.005 0.000 14.086
U Hg Te Cl
2 6 4 12
direct
0.000 0.000 0.000
0.000 0.500 0.500
0.499 0.249 0.750
0.499 0.251 0.250
0.500 0.000 0.500
0.500 0.500 0.000
0.501 0.749 0.750
0.501 0.751 0.250
0.306 0.501 0.167
0.306 0.999 0.667
0.694 0.001 0.333
0.694 0.499 0.833
0.206 0.232 0.924
0.206 0.268 0.424
0.207 0.002 0.154
0.207 0.498 0.654
0.213 0.727 0.424
0.213 0.773 0.924
0.787 0.227 0.076
0.787 0.273 0.576
0.793 0.502 0.346
0.793 0.998 0.846
0.794 0.732 0.576
0.794 0.768 0.076
```

Top 12 peaks for 15° ≤ 2θ ≤ 90°, by angle:
2θ/deg, d/Å, I/Imax
17.63, 5.032, 1000
25.15, 3.541, 174
25.27, 3.524, 291
28.20, 3.164, 353
35.69, 2.516, 713
35.95, 2.498, 319
43.86, 2.064, 185
44.53, 2.035, 299
48.26, 1.886, 104
57.59, 1.601, 105
58.32, 1.582, 172
76.20, 1.249, 106

***

# 6
For Tb2Nd4Sm3, a structure optimized by DFT (PBE) gives the simulated powder XRD pattern in this record (CuKα).
Peak positions follow from Bragg's law for the DFT cell and can differ from measured ones.

```
Tb2Nd4Sm3
1.0
3.640 0.000 0.000
-1.820 3.153 0.000
0.000 0.000 27.070
Tb Nd Sm
2 4 3
direct
0.000 0.000 0.000
0.000 0.000 0.213
0.000 0.000 0.340
0.000 0.000 0.559
0.333 0.667 0.671
0.333 0.667 0.893
0.000 0.000 0.781
0.333 0.667 0.109
0.333 0.667 0.447
```

Top 12 peaks for 15° ≤ 2θ ≤ 90°, by angle:
2θ/deg, d/Å, I/Imax
28.31, 3.153, 502
29.70, 3.008, 528
31.30, 2.858, 722
32.88, 2.724, 1000
34.71, 2.584, 124
41.49, 2.176, 332
50.12, 1.820, 398
55.77, 1.648, 299
59.35, 1.557, 447
61.25, 1.513, 168
82.98, 1.164, 143
83.36, 1.159, 140

***

# 7
For Sr2SmPbSe4, a structure optimized by DFT (PBE) gives the simulated powder XRD pattern in this record (CuKα).
Peak positions follow from Bragg's law for the DFT cell and can differ from measured ones.

```
Sr2SmPbSe4
1.0
7.542 0.000 0.000
0.000 4.348 0.000
-2.521 0.000 7.168
Sr Sm Pb Se
2 1 1 4
direct
0.000 0.000 0.000
0.000 0.500 0.500
0.500 0.000 0.500
0.500 0.500 0.000
0.258 0.000 0.744
0.261 0.500 0.260
0.739 0.500 0.740
0.742 0.000 0.256
```

Top 12 peaks for 15° ≤ 2θ ≤ 90°, by angle:
2θ/deg, d/Å, I/Imax
25.04, 3.556, 87
28.94, 3.086, 1000
41.26, 2.188, 380
41.51, 2.176, 375
50.96, 1.792, 68
51.39, 1.778, 200
59.96, 1.543, 125
67.75, 1.383, 173
68.08, 1.377, 113
75.03, 1.266, 64
75.55, 1.258, 127
75.72, 1.256, 63

***

# 8
For TbYH, a structure optimized by DFT (PBE) gives the simulated powder XRD pattern in this record (CuKα).
Peak positions follow from Bragg's law for the DFT cell and can differ from measured ones.

```
TbYH
1.0
6.298 0.000 0.000
0.000 14.590 0.000
0.000 0.000 5.568
Tb Y H
8 8 8
direct
0.081 0.062 0.000
0.082 0.813 0.997
0.418 0.313 0.497
0.419 0.562 0.500
0.581 0.438 0.000
0.582 0.687 0.997
0.918 0.187 0.497
0.919 0.938 0.500
0.084 0.312 0.004
0.084 0.563 0.004
0.416 0.063 0.504
0.416 0.812 0.504
0.584 0.188 0.004
0.584 0.937 0.004
0.916 0.437 0.504
0.916 0.688 0.504
0.246 0.437 0.752
0.248 0.687 0.751
0.252 0.187 0.251
0.254 0.937 0.252
0.746 0.063 0.752
0.748 0.813 0.751
0.752 0.313 0.251
0.754 0.563 0.252
```

Top 12 peaks for 15° ≤ 2θ ≤ 90°, by angle:
2θ/deg, d/Å, I/Imax
15.32, 5.782, 62
28.27, 3.156, 156
28.34, 3.149, 82
32.15, 2.784, 228
32.63, 2.744, 1000
43.35, 2.087, 154
50.01, 1.824, 68
50.14, 1.819, 133
57.63, 1.600, 194
60.71, 1.526, 73
60.82, 1.523, 145
61.03, 1.518, 109